The following is a computed powder X-ray diffraction pattern of FeSnO3. It was derived from DFT lattice parameters and positions (PBE+U), using copper Kα.

Principal peaks in the range 2θ = 5–70°, most intense first:
2θ/deg  d_spacing  I/Imax
32.5  2.753  100
58.5  1.577  26
32.8  2.731  24
57.8  1.595  24
32.9  2.720  24
47.2  1.927  22

Crystal structure
```
data_FeSnO3
_chemical_formula_sum 'Fe4 Sn4 O12'
_cell_length_a 5.461
_cell_length_b 7.869
_cell_length_c 5.439
_cell_angle_alpha 90.00
_cell_angle_beta 90.00
_cell_angle_gamma 90.00
_space_group_name_H-M_alt 'P 1'
_space_group_IT_number 1
loop_
_space_group_symop_operation_xyz
'x,y,z'
loop_
_atom_site_label
_atom_site_type_symbol
_atom_site_fract_x
_atom_site_fract_y
_atom_site_fract_z
Fe1 Fe 0.036 0.250 0.007
Fe2 Fe 0.464 0.750 0.507
Fe3 Fe 0.536 0.250 0.493
Fe4 Fe 0.964 0.750 0.993
Sn1 Sn 0.000 0.000 0.500
Sn2 Sn 0.000 0.500 0.500
Sn3 Sn 0.500 0.000 0.000
Sn4 Sn 0.500 0.500 0.000
O1 O 0.084 0.750 0.624
O2 O 0.175 0.567 0.171
O3 O 0.175 0.933 0.171
O4 O 0.325 0.067 0.671
O5 O 0.325 0.433 0.671
O6 O 0.416 0.250 0.124
O7 O 0.584 0.750 0.876
O8 O 0.675 0.567 0.329
O9 O 0.675 0.933 0.329
O10 O 0.825 0.067 0.829
O11 O 0.825 0.433 0.829
O12 O 0.916 0.250 0.376
```